Entry 1:
Diffraction record for InHg3AsSCl4. The powder XRD pattern is theoretical, not measured: it uses a structure optimized by DFT (PBE) and copper Kα.

Structural model:
a b c (Å): 7.545 7.545 12.385
angles (deg): 90.00 90.00 120.00
Fractional positions:
In1 0.000 0.000 0.000
In2 0.000 0.000 0.500
Hg1 0.003 0.502 0.212
Hg2 0.498 0.502 0.212
Hg3 0.498 0.997 0.212
Hg4 0.502 0.003 0.712
Hg5 0.502 0.498 0.712
Hg6 0.997 0.498 0.712
As1 0.333 0.667 0.319
As2 0.667 0.333 0.819
S1 0.333 0.667 0.621
S2 0.667 0.333 0.121
Cl1 0.000 0.000 0.196
Cl2 0.000 0.000 0.696
Cl3 0.176 0.352 0.950
Cl4 0.176 0.824 0.950
Cl5 0.352 0.176 0.450
Cl6 0.648 0.824 0.950
Cl7 0.824 0.176 0.450
Cl8 0.824 0.648 0.450

Most intense lines, 2θ from 10° to 90°, by angle:
| 2theta | I_rel | hkl |
| --- | --- | --- |
| 14.30 | 602 | 0 0 2 |
| 19.75 | 839 | 1 0 2 |
| 27.30 | 854 | 2 0 0 |
| 30.95 | 1000 | 2 0 2 |
| 40.12 | 746 | 2 0 4 |
| 48.25 | 404 | 2 2 0 |

***

Entry 2:
Diffraction record for Cd3PF6. The powder XRD pattern is theoretical, not measured: it uses a structure optimized by DFT (PBE) and copper Kα.

Structural model:
a b c (Å): 4.925 4.925 6.988
angles (deg): 90.00 90.00 120.00
Fractional positions:
Cd1 0.000 0.000 0.000
Cd2 0.333 0.667 0.000
Cd3 0.667 0.333 0.000
P1 0.000 0.000 0.500
F1 0.000 0.271 0.365
F2 0.000 0.729 0.635
F3 0.271 0.000 0.365
F4 0.271 0.271 0.635
F5 0.729 0.000 0.635
F6 0.729 0.729 0.365

Most intense lines, 2θ from 10° to 90°, by angle:
| 2theta | I_rel | hkl |
| --- | --- | --- |
| 12.67 | 1000 | 0 0 1 |
| 25.49 | 514 | 0 0 2 |
| 36.48 | 489 | 1 1 0 |
| 38.77 | 957 | 2 -1 1 |
| 45.04 | 752 | 1 1 2 |
| 65.51 | 264 | 2 -1 4 |